For AcAlPt2, DFT lattice parameters and positions (PBE) gives the simulated PXRD pattern in this record (Cu Kα, 1.54184 Å).
Peak positions follow from Bragg's law for the DFT cell and can differ from measured ones.

Most intense lines, 2θ = 10–90°, in order of rising 2θ:
two_theta  I/Imax  index
23.85  26  2 0 0
27.34  28  1 0 3
31.55  100  2 1 0
32.08  56  0 1 3
34.32  78  1 1 3
34.49  33  2 0 3
40.37  24  2 1 3
41.36  40  0 2 0
44.15  25  3 0 3
51.87  23  1 0 6

Structural model:
```
data_AcAlPt2
_space_group_name_H-M_alt 'P n m a'
_space_group_IT_number 62
_space_group_name_Hall '-P 2ac 2n'
_cell_length_a 7.4611
_cell_length_b 4.3655
_cell_length_c 10.8808
_cell_angle_alpha 90.00
_cell_angle_beta 90.00
_cell_angle_gamma 90.00
loop_
_atom_site_label
_atom_site_type_symbol
_atom_site_fract_x
_atom_site_fract_y
_atom_site_fract_z
_atom_site_occupancy
Ac1 Ac 0.1513 0.2500 0.1379 1
Al1 Al 0.0292 0.7500 0.3972 1
Pt1 Pt 0.1434 0.2500 0.8026 1
Pt2 Pt 0.2036 0.2500 0.4345 1
```

=====

For DyGa4Bi, DFT lattice parameters and positions (PBE) gives the simulated PXRD pattern in this record (Cu Kα, 1.54184 Å).
Peak positions follow from Bragg's law for the DFT cell and can differ from measured ones.

Most intense lines, 2θ = 10–90°, in order of rising 2θ:
two_theta  I/Imax  index
19.21  13  1 1 1
31.63  62  2 2 0
37.27  100  3 1 1
38.99  16  2 2 2
56.33  25  4 2 2
60.08  33  5 1 1
66.05  24  4 4 0
75.08  11  6 2 0
78.36  12  5 3 3
79.45  6  6 2 2

Structural model:
```
data_DyGa4Bi
_space_group_name_H-M_alt 'F -4 3 m'
_space_group_IT_number 216
_space_group_name_Hall 'F -4 2 3'
_cell_length_a 8.0017
_cell_length_b 8.0017
_cell_length_c 8.0017
_cell_angle_alpha 90.00
_cell_angle_beta 90.00
_cell_angle_gamma 90.00
loop_
_atom_site_label
_atom_site_type_symbol
_atom_site_fract_x
_atom_site_fract_y
_atom_site_fract_z
_atom_site_occupancy
Dy1 Dy 0.0000 0.0000 0.0000 1
Ga1 Ga 0.1252 0.1252 0.6252 1
Bi1 Bi 0.2500 0.2500 0.2500 1
```

=====

For Na5B7C3, DFT lattice parameters and positions (PBE) gives the simulated PXRD pattern in this record (Cu Kα, 1.54184 Å).
Peak positions follow from Bragg's law for the DFT cell and can differ from measured ones.

Most intense lines, 2θ = 10–90°, in order of rising 2θ:
two_theta  I/Imax  index
35.07  11  2 0 4
36.08  18  1 1 2
41.13  51  6 0 2
42.02  100  5 1 0
42.34  38  8 0 -4
56.82  10  7 1 -6
63.57  18  3 1 6
77.22  13  13 1 -4
79.38  17  11 1 2
80.36  11  6 2 2

Structural model:
```
data_Na5B7C3
_space_group_name_H-M_alt 'C 1 2/m 1'
_space_group_IT_number 12
_space_group_name_Hall '-C 2y'
_cell_length_a 17.8286
_cell_length_b 2.8490
_cell_length_c 13.3276
_cell_angle_alpha 90.00
_cell_angle_beta 113.14
_cell_angle_gamma 90.00
loop_
_atom_site_label
_atom_site_type_symbol
_atom_site_fract_x
_atom_site_fract_y
_atom_site_fract_z
_atom_site_occupancy
Na1 Na 0.0000 0.0000 0.0000 1
Na2 Na 0.0000 0.0000 0.5000 1
Na3 Na 0.1005 0.5000 0.1981 1
Na4 Na 0.1008 0.5000 0.7007 1
Na5 Na 0.1991 0.0000 0.3998 1
Na6 Na 0.2016 0.0000 0.9003 1
B1 B 0.0266 0.0000 0.3033 1
B2 B 0.0664 0.5000 0.3836 1
B3 B 0.0666 0.5000 0.8836 1
B4 B 0.1360 0.5000 0.5218 1
B5 B 0.1612 0.0000 0.0724 1
B6 B 0.2300 0.0000 0.7100 1
B7 B 0.2310 0.0000 0.2112 1
C1 C 0.0353 0.0000 0.8213 1
C2 C 0.1303 0.5000 0.0110 1
C3 C 0.1676 0.0000 0.5842 1
```

=====

For LaTb7Ho2, DFT lattice parameters and positions (PBE) gives the simulated PXRD pattern in this record (Cu Kα, 1.54184 Å).
Peak positions follow from Bragg's law for the DFT cell and can differ from measured ones.

Most intense lines, 2θ = 10–90°, in order of rising 2θ:
two_theta  I/Imax  index
30.64  100  1 0 2
35.52  51  2 1 -1
51.11  36  1 2 2
60.78  43  3 1 1
63.79  12  0 4 0
75.20  6  4 2 -2
83.34  18  5 -2 0
85.96  4  -3 4 4
86.04  12  5 0 0

Structural model:
```
data_LaTb7Ho2
_space_group_name_H-M_alt 'P -1'
_space_group_IT_number 2
_space_group_name_Hall '-P 1'
_cell_length_a 6.1872
_cell_length_b 6.1897
_cell_length_c 9.4580
_cell_angle_alpha 102.56
_cell_angle_beta 109.08
_cell_angle_gamma 99.62
loop_
_atom_site_label
_atom_site_type_symbol
_atom_site_fract_x
_atom_site_fract_y
_atom_site_fract_z
_atom_site_occupancy
La1 La 0.0000 0.0000 0.0000 1
Tb1 Tb 0.0000 0.5000 0.5000 1
Tb2 Tb 0.2011 0.0020 0.4018 1
Tb3 Tb 0.2012 0.5003 0.8987 1
Tb4 Tb 0.3982 0.9992 0.7969 1
Ho1 Ho 0.4010 0.5026 0.3019 1
```

=====

Please write out number 3 again, unchanged.
For Na5B7C3, DFT lattice parameters and positions (PBE) gives the simulated PXRD pattern in this record (Cu Kα, 1.54184 Å).
Peak positions follow from Bragg's law for the DFT cell and can differ from measured ones.

Most intense lines, 2θ = 10–90°, in order of rising 2θ:
two_theta  I/Imax  index
35.07  11  2 0 4
36.08  18  1 1 2
41.13  51  6 0 2
42.02  100  5 1 0
42.34  38  8 0 -4
56.82  10  7 1 -6
63.57  18  3 1 6
77.22  13  13 1 -4
79.38  17  11 1 2
80.36  11  6 2 2

Structural model:
```
data_Na5B7C3
_space_group_name_H-M_alt 'C 1 2/m 1'
_space_group_IT_number 12
_space_group_name_Hall '-C 2y'
_cell_length_a 17.8286
_cell_length_b 2.8490
_cell_length_c 13.3276
_cell_angle_alpha 90.00
_cell_angle_beta 113.14
_cell_angle_gamma 90.00
loop_
_atom_site_label
_atom_site_type_symbol
_atom_site_fract_x
_atom_site_fract_y
_atom_site_fract_z
_atom_site_occupancy
Na1 Na 0.0000 0.0000 0.0000 1
Na2 Na 0.0000 0.0000 0.5000 1
Na3 Na 0.1005 0.5000 0.1981 1
Na4 Na 0.1008 0.5000 0.7007 1
Na5 Na 0.1991 0.0000 0.3998 1
Na6 Na 0.2016 0.0000 0.9003 1
B1 B 0.0266 0.0000 0.3033 1
B2 B 0.0664 0.5000 0.3836 1
B3 B 0.0666 0.5000 0.8836 1
B4 B 0.1360 0.5000 0.5218 1
B5 B 0.1612 0.0000 0.0724 1
B6 B 0.2300 0.0000 0.7100 1
B7 B 0.2310 0.0000 0.2112 1
C1 C 0.0353 0.0000 0.8213 1
C2 C 0.1303 0.5000 0.0110 1
C3 C 0.1676 0.0000 0.5842 1
```